Simulated powder XRD pattern
Compound: CeThIrPd
Radiation: copper Kα
Structure: a GGA-PBE-relaxed structure

Crystal structure
Cell lengths 4.306, 3.906, 11.257 Å; angles 90.00, 90.00, 90.00 degrees
Element x y z (fractional)
Ce 0.000 0.000 0.000
Ce 0.000 0.500 0.500
Th 0.500 0.000 0.726
Th 0.500 0.500 0.226
Ir 0.000 0.000 0.261
Ir 0.000 0.500 0.761
Pd 0.500 0.000 0.453
Pd 0.500 0.500 0.953

Most intense lines, 2θ = 15–90°, low angle first:
2θ/deg	d/Å	intensity
15.74	5.629	17.8
31.80	2.814	39.3
31.94	2.802	100.0
39.32	2.291	65.8
41.96	2.153	24.6
46.50	1.953	20.2
53.59	1.710	18.3
70.38	1.338	16.3

=====

Simulated powder XRD pattern
Compound: BaCuGeP2
Radiation: copper Kα
Structure: a GGA-PBE-relaxed structure

Crystal structure
Cell lengths 6.548, 6.548, 8.873 Å; angles 100.35, 100.35, 39.42 degrees
Element x y z (fractional)
Ba 0.167 0.167 0.187
Ba 0.833 0.833 0.813
Cu 0.159 0.159 0.564
Cu 0.841 0.841 0.436
Ge 0.444 0.444 0.310
Ge 0.556 0.556 0.690
P 0.110 0.110 0.810
P 0.365 0.365 0.557
P 0.635 0.635 0.443
P 0.890 0.890 0.190

Most intense lines, 2θ = 15–90°, low angle first:
2θ/deg	d/Å	intensity
23.13	3.845	57.7
30.00	2.979	100.0
30.75	2.908	34.9
33.15	2.703	29.5
36.60	2.455	82.6
38.67	2.329	30.2
40.87	2.208	46.8
44.23	2.048	26.9

=====

Simulated powder XRD pattern
Compound: Ca2EuSb
Radiation: copper Kα
Structure: a GGA-PBE-relaxed structure

Crystal structure
Cell lengths 5.015, 5.015, 5.106 Å; angles 90.00, 90.00, 90.00 degrees
Element x y z (fractional)
Ca 0.000 0.500 0.000
Ca 0.500 0.000 0.000
Eu 0.000 0.000 0.500
Sb 0.500 0.500 0.500

Most intense lines, 2θ = 15–90°, low angle first:
2θ/deg	d/Å	intensity
17.37	5.106	26.0
25.11	3.546	22.4
30.70	2.913	100.0
35.15	2.553	17.3
35.81	2.508	32.9
51.05	1.789	23.2
60.32	1.534	13.8
61.19	1.515	26.4

=====

Simulated powder XRD pattern
Compound: GeSbTe3
Radiation: copper Kα
Structure: a GGA-PBE-relaxed structure

Crystal structure
Cell lengths 4.202, 4.202, 29.758 Å; angles 90.00, 90.00, 120.00 degrees
Element x y z (fractional)
Ge 0.000 0.000 0.000
Ge 0.333 0.667 0.667
Ge 0.667 0.333 0.333
Sb 0.000 0.000 0.798
Sb 0.333 0.667 0.465
Sb 0.667 0.333 0.131
Te 0.000 0.000 0.193
Te 0.000 0.000 0.399
Te 0.000 0.000 0.616
Te 0.333 0.667 0.065
Te 0.333 0.667 0.282
Te 0.333 0.667 0.859
Te 0.667 0.333 0.526
Te 0.667 0.333 0.732
Te 0.667 0.333 0.949

Most intense lines, 2θ = 15–90°, low angle first:
2θ/deg	d/Å	intensity
28.76	3.104	100.0
39.10	2.304	35.7
43.06	2.101	35.3
52.60	1.740	18.3
59.56	1.552	10.2
64.62	1.442	11.4
70.24	1.340	15.1
76.27	1.248	9.8

=====

Simulated powder XRD pattern
Compound: BaLa4Ti4O15
Radiation: copper Kα
Structure: a GGA-PBE-relaxed structure

Crystal structure
Cell lengths 5.621, 5.621, 22.770 Å; angles 90.00, 90.00, 120.00 degrees
Element x y z (fractional)
Ba 0.000 0.000 0.000
Ba 0.000 0.000 0.500
La 0.000 0.000 0.183
La 0.000 0.000 0.683
La 0.333 0.667 0.291
La 0.333 0.667 0.791
La 0.667 0.333 0.070
La 0.667 0.333 0.398
La 0.667 0.333 0.570
La 0.667 0.333 0.898
Ti 0.000 0.000 0.341
Ti 0.000 0.000 0.841
Ti 0.333 0.667 0.134
Ti 0.333 0.667 0.447
Ti 0.333 0.667 0.634
Ti 0.333 0.667 0.947
Ti 0.667 0.333 0.238
Ti 0.667 0.333 0.738
O 0.003 0.435 0.196
O 0.003 0.569 0.696
O 0.082 0.336 0.600
O 0.082 0.747 0.100
O 0.111 0.336 0.385
O 0.111 0.776 0.885
O 0.224 0.336 0.885
O 0.224 0.889 0.385
O 0.253 0.336 0.100
O 0.253 0.918 0.600
O 0.334 0.104 0.790
O 0.334 0.230 0.290
O 0.431 0.435 0.696
O 0.431 0.997 0.196
O 0.478 0.006 0.983
O 0.478 0.472 0.483
O 0.528 0.006 0.483
O 0.528 0.522 0.983
O 0.565 0.569 0.196
O 0.565 0.997 0.696
O 0.664 0.747 0.600
O 0.664 0.776 0.385
O 0.664 0.889 0.885
O 0.664 0.918 0.100
O 0.770 0.104 0.290
O 0.770 0.666 0.790
O 0.896 0.230 0.790
O 0.896 0.666 0.290
O 0.994 0.472 0.983
O 0.994 0.522 0.483

Most intense lines, 2θ = 15–90°, low angle first:
2θ/deg	d/Å	intensity
19.84	4.476	19.3
29.85	2.993	100.0
31.84	2.811	77.9
44.21	2.049	50.7
51.70	1.768	24.9
55.50	1.656	35.6
56.73	1.623	18.9
71.40	1.321	17.9